This entry pairs a crystal structure of In2AgBi with its computed powder XRD pattern. Radiation: Cu Kα. Structure: the GGA-PBE geometry in Alexandria.
No peak broadening, texture or thermal motion is included.

Crystal structure
a = 3.6903 Å, b = 3.6903 Å, c = 7.5159 Å
α = 90.00°, β = 90.00°, γ = 90.00°
Space group P4/mmm (No. 123)
One atom of each set of equivalent atoms:
1 In 0.0000 0.0000 0.2155 [2 per cell]
2 Ag 0.5000 0.5000 0.0000 [1 per cell]
3 Bi 0.5000 0.5000 0.5000 [1 per cell]

Most intense lines, 2θ = 10–90°, by angle:
h k l	two_theta	d [Å]	I_rel
1 0 1	26.9	3.313	13
1 0 2	34.0	2.633	100
1 1 0	34.4	2.609	53
0 0 4	48.4	1.879	7
2 0 0	49.4	1.845	19
1 1 4	60.7	1.525	15
2 1 2	61.4	1.511	36
2 0 4	71.7	1.317	9
3 0 2	82.5	1.169	8
3 1 0	82.7	1.167	8



This entry pairs a crystal structure of KUSiO7 with its computed powder XRD pattern. Radiation: Cu Kα. Structure: the GGA-PBE geometry in Alexandria.
No peak broadening, texture or thermal motion is included.

Crystal structure
a = 6.8105 Å, b = 7.0053 Å, c = 7.0808 Å
α = 90.00°, β = 103.31°, γ = 90.00°
Space group P2_1 (No. 4)
One atom of each set of equivalent atoms:
1 K 0.2356 0.0000 0.0627 [2 per cell]
2 U 0.1350 0.3004 0.5182 [2 per cell]
3 Si 0.3460 0.8062 0.5700 [2 per cell]
4 O 0.0881 0.3241 0.2535 [2 per cell]
5 O 0.1629 0.2698 0.7797 [2 per cell]
6 O 0.1812 0.9742 0.4811 [2 per cell]
7 O 0.1946 0.6213 0.5501 [2 per cell]
8 O 0.4068 0.5969 0.1807 [2 per cell]
9 O 0.4566 0.8416 0.8014 [2 per cell]
10 O 0.4782 0.2830 0.5530 [2 per cell]

Most intense lines, 2θ = 10–90°, by angle:
h k l	two_theta	d [Å]	I_rel
0 0 1	12.8	6.891	100
1 0 0	13.4	6.628	22
1 0 -1	16.3	5.444	23
1 1 0	18.4	4.814	28
1 1 -1	20.7	4.301	24
1 1 1	24.3	3.669	24
0 2 0	25.4	3.503	22
0 2 1	28.6	3.122	39
2 1 0	29.8	2.996	35
2 1 -1	29.9	2.984	29